For KHg3Pd3, a PBE-relaxed structure gives the calculated X-ray powder pattern in this record (Cu Kα (weighted mean of Kα1 and Kα2)).
Kinematic intensities with the Lorentz-polarization factor, no thermal factor.

Cell and atoms:
a b c (Å): 7.5467 7.5467 7.5467
angles (deg): 90.00 90.00 90.00
Atoms (fractional coordinates):
K1 0.0000 0.0000 0.0000
K2 0.5000 0.5000 0.5000
Hg1 0.0000 0.2500 0.5000
Hg2 0.0000 0.7500 0.5000
Hg3 0.2500 0.5000 0.0000
Hg4 0.5000 0.0000 0.2500
Hg5 0.5000 0.0000 0.7500
Hg6 0.7500 0.5000 0.0000
Pd1 0.0000 0.5000 0.2500
Pd2 0.0000 0.5000 0.7500
Pd3 0.2500 0.0000 0.5000
Pd4 0.5000 0.2500 0.0000
Pd5 0.5000 0.7500 0.0000
Pd6 0.7500 0.0000 0.5000

The 10 most intense peaks (10° ≤ 2θ ≤ 90°), sorted by position:
16.61 deg, rel. 100, (1 1 0); 23.58 deg, rel. 39, (2 0 0); 26.41 deg, rel. 31, (2 1 0); 28.98 deg, rel. 93, (2 1 1); 37.69 deg, rel. 27, (3 1 0); 41.45 deg, rel. 76, (2 2 2); 44.94 deg, rel. 56, (3 2 1); 48.24 deg, rel. 44, (4 0 0); 70.60 deg, rel. 28, (4 4 0); 85.31 deg, rel. 30, (6 2 2)